No. 1
The following is a computed X-ray powder pattern of TmSc2Cu9. It was derived from DFT lattice parameters and positions (GGA-PBE), using Cu Kα X-rays.
Lines closer than 0.1° are merged.

Structural model:
```
TmSc2Cu9
1.0
2.523 1.456 8.128
-2.523 1.456 8.128
0.000 -2.913 8.128
Tm Sc Cu
1 2 9
Direct
0.000 0.000 0.000
0.143 0.143 0.143
0.857 0.857 0.857
0.082 0.585 0.585
0.333 0.333 0.333
0.415 0.415 0.918
0.415 0.918 0.415
0.500 0.500 0.500
0.585 0.082 0.585
0.585 0.585 0.082
0.667 0.667 0.667
0.918 0.415 0.415
```

Largest 12 diffraction maxima, by angle, 10° ≤ 2θ ≤ 90°:
2theta	Rel. int.
10.89	27
25.07	16
32.88	17
35.59	27
35.92	20
41.50	32
42.01	19
42.16	100
44.59	26
45.49	15
68.43	22
75.35	19


No. 2
The following is a computed X-ray powder pattern of TmScZnCu. It was derived from DFT lattice parameters and positions (GGA-PBE), using Cu Kα X-rays.
Lines closer than 0.1° are merged.

Structural model:
```
TmScZnCu
1.0
3.403 0.000 0.000
0.000 3.403 0.000
0.000 0.000 6.720
Tm Sc Zn Cu
1 1 1 1
Direct
0.000 0.000 0.000
0.000 0.000 0.487
0.500 0.500 0.722
0.500 0.500 0.264
```

Largest 12 diffraction maxima, by angle, 10° ≤ 2θ ≤ 90°:
2theta	Rel. int.
13.18	26
29.42	32
37.37	53
37.62	100
39.79	8
53.88	18
54.63	8
56.09	8
62.57	8
67.57	34
68.06	15
80.31	9


No. 3
The following is a computed X-ray powder pattern of Y5ScCu6. It was derived from DFT lattice parameters and positions (GGA-PBE), using Cu Kα X-rays.
Lines closer than 0.1° are merged.

Structural model:
```
Y5ScCu6
1.0
-2.443 3.420 7.355
2.443 -3.420 7.355
2.443 3.420 -7.355
Y Sc Cu
5 1 6
Direct
0.000 0.000 0.000
0.166 0.666 0.500
0.333 0.333 0.000
0.667 0.667 0.000
0.834 0.334 0.500
0.500 0.000 0.500
0.100 0.839 0.261
0.268 0.500 0.768
0.422 0.161 0.261
0.578 0.839 0.739
0.732 0.500 0.232
0.900 0.161 0.739
```

Largest 12 diffraction maxima, by angle, 10° ≤ 2θ ≤ 90°:
2theta	Rel. int.
36.65	26
36.80	26
36.95	100
52.91	17
53.59	8
66.19	16
66.38	16
66.73	15
78.28	3
78.66	9
89.44	3
89.70	11


No. 4
The following is a computed X-ray powder pattern of Sc3Zn2Cu9. It was derived from DFT lattice parameters and positions (GGA-PBE), using Cu Kα X-rays.
Lines closer than 0.1° are merged.

Structural model:
```
Sc3Zn2Cu9
1.0
-2.046 4.281 5.982
2.046 -4.281 5.982
2.046 4.281 -5.982
Sc Zn Cu
3 2 9
Direct
0.000 0.000 0.000
0.296 0.296 0.000
0.704 0.704 0.000
0.304 0.500 0.804
0.696 0.500 0.196
0.031 0.671 0.360
0.154 0.871 0.283
0.311 0.671 0.640
0.412 0.129 0.283
0.500 0.000 0.500
0.588 0.871 0.717
0.689 0.329 0.360
0.846 0.129 0.717
0.969 0.329 0.640
```

Largest 12 diffraction maxima, by angle, 10° ≤ 2θ ≤ 90°:
2theta	Rel. int.
20.75	27
36.65	28
37.87	100
38.46	30
38.77	37
41.42	53
43.83	35
44.26	67
45.49	27
48.60	24
48.96	25
49.43	38


No. 5
The following is a computed X-ray powder pattern of ScZn8Cu2. It was derived from DFT lattice parameters and positions (GGA-PBE), using Cu Kα X-rays.
Lines closer than 0.1° are merged.

Structural model:
```
ScZn8Cu2
1.0
5.307 0.000 0.000
0.000 5.307 0.000
0.000 0.000 7.768
Sc Zn Cu
1 8 2
Direct
0.000 0.000 0.000
0.252 0.252 0.281
0.252 0.252 0.719
0.252 0.748 0.281
0.252 0.748 0.719
0.748 0.252 0.281
0.748 0.252 0.719
0.748 0.748 0.281
0.748 0.748 0.719
0.000 0.500 0.500
0.500 0.000 0.500
```

Largest 12 diffraction maxima, by angle, 10° ≤ 2θ ≤ 90°:
2theta	Rel. int.
11.39	47
22.90	28
26.38	23
33.78	26
41.20	100
46.78	12
48.52	34
49.16	20
54.30	10
69.68	13
71.05	10
85.57	21


No. 6
The following is a computed X-ray powder pattern of ScZnCu3. It was derived from DFT lattice parameters and positions (GGA-PBE), using Cu Kα X-rays.
Lines closer than 0.1° are merged.

Structural model:
```
ScZnCu3
1.0
5.203 -4.294 0.000
5.203 4.294 0.000
-3.709 0.000 6.479
Sc Zn Cu
4 4 12
Direct
0.100 0.900 0.750
0.360 0.640 0.250
0.640 0.360 0.750
0.900 0.100 0.250
0.027 0.293 0.682
0.293 0.027 0.182
0.707 0.973 0.818
0.973 0.707 0.318
0.045 0.316 0.047
0.196 0.409 0.457
0.298 0.552 0.852
0.316 0.045 0.547
0.409 0.196 0.957
0.448 0.702 0.648
0.552 0.298 0.352
0.591 0.804 0.043
0.684 0.955 0.453
0.702 0.448 0.148
0.804 0.591 0.543
0.955 0.684 0.953
```

Largest 12 diffraction maxima, by angle, 10° ≤ 2θ ≤ 90°:
2theta	Rel. int.
40.20	8
41.00	66
41.61	39
41.97	100
42.09	47
43.64	11
44.92	12
59.56	8
60.68	23
76.18	7
76.59	10
76.84	24


No. 7
The following is a computed X-ray powder pattern of ScZn2Cu2. It was derived from DFT lattice parameters and positions (GGA-PBE), using Cu Kα X-rays.
Lines closer than 0.1° are merged.

Structural model:
```
ScZn2Cu2
1.0
4.770 0.000 0.000
0.000 4.308 0.000
-1.920 0.000 7.732
Sc Zn Cu
2 4 4
Direct
0.185 0.250 0.265
0.815 0.750 0.735
0.226 0.250 0.636
0.383 0.750 0.033
0.617 0.250 0.967
0.774 0.750 0.364
0.090 0.250 0.916
0.324 0.750 0.470
0.676 0.250 0.530
0.910 0.750 0.084
```

Largest 12 diffraction maxima, by angle, 10° ≤ 2θ ≤ 90°:
2theta	Rel. int.
23.00	52
23.64	41
33.59	48
39.74	57
40.80	100
41.45	25
41.95	93
43.43	23
44.43	87
45.69	66
45.95	27
63.96	23


No. 8
The following is a computed X-ray powder pattern of ScZn3Cu8. It was derived from DFT lattice parameters and positions (GGA-PBE), using Cu Kα X-rays.
Lines closer than 0.1° are merged.

Structural model:
```
ScZn3Cu8
1.0
4.928 0.000 0.000
-2.464 4.268 0.000
0.000 0.000 7.825
Sc Zn Cu
1 3 8
Direct
0.000 0.000 0.000
0.000 0.000 0.389
0.667 0.333 0.499
0.667 0.333 0.865
0.164 0.328 0.685
0.164 0.836 0.685
0.333 0.667 0.436
0.333 0.667 0.938
0.504 0.008 0.191
0.504 0.496 0.191
0.672 0.836 0.685
0.992 0.496 0.191
```

Largest 12 diffraction maxima, by angle, 10° ≤ 2θ ≤ 90°:
2theta	Rel. int.
36.46	26
40.53	63
43.40	100
43.98	89
46.42	20
48.60	21
51.38	11
68.38	21
70.42	21
75.31	25
77.47	24
87.70	10